(1)
# Li2CaHgCl6
Simulated powder diffraction line list, Cu Kα X-rays. Input: DFT lattice parameters and positions (GGA-PBE).

Most intense lines, 2θ from 10° to 90°, low angle first:
6.059 Å, rel. 25; 5.516 Å, rel. 63; 4.882 Å, rel. 100; 3.574 Å, rel. 52; 2.926 Å, rel. 65; 2.758 Å, rel. 34; 2.244 Å, rel. 55; 1.930 Å, rel. 36

Cell and atoms:
abc: 7.183 7.183 7.183
angles: 55.45 55.45 55.45
Sites, in units of the cell vectors:
Li 0.000 0.000 0.000
Li 0.490 0.490 0.490
Ca 0.693 0.693 0.693
Hg 0.198 0.198 0.198
Cl 0.117 0.771 0.385
Cl 0.268 0.613 0.891
Cl 0.385 0.117 0.771
Cl 0.613 0.891 0.268
Cl 0.771 0.385 0.117
Cl 0.891 0.268 0.613


(2)
# NaHoCd2O4
Simulated powder diffraction line list, Cu Kα X-rays. Input: DFT lattice parameters and positions (GGA-PBE).

Most intense lines, 2θ from 10° to 90°, low angle first:
4.239 Å, rel. 49; 2.750 Å, rel. 100; 2.443 Å, rel. 34; 2.353 Å, rel. 61; 1.695 Å, rel. 42; 1.664 Å, rel. 20; 1.423 Å, rel. 28; 1.375 Å, rel. 20

Cell and atoms:
abc: 4.705 4.705 9.771
angles: 90.00 90.00 90.00
Sites, in units of the cell vectors:
Na 0.000 0.000 0.000
Na 0.500 0.500 0.500
Ho 0.000 0.000 0.500
Ho 0.500 0.500 0.000
Cd 0.000 0.500 0.250
Cd 0.000 0.500 0.750
Cd 0.500 0.000 0.250
Cd 0.500 0.000 0.750
O 0.000 0.000 0.268
O 0.000 0.000 0.732
O 0.000 0.500 0.000
O 0.000 0.500 0.500
O 0.500 0.000 0.000
O 0.500 0.000 0.500
O 0.500 0.500 0.232
O 0.500 0.500 0.768


(3)
# Er6I7
Simulated powder diffraction line list, Cu Kα X-rays. Input: DFT lattice parameters and positions (GGA-PBE).

Most intense lines, 2θ from 10° to 90°, low angle first:
3.094 Å, rel. 100; 2.757 Å, rel. 19; 2.478 Å, rel. 10; 2.453 Å, rel. 17; 2.344 Å, rel. 11; 2.293 Å, rel. 22; 1.994 Å, rel. 14; 1.616 Å, rel. 11

Cell and atoms:
abc: 11.933 11.933 12.694
angles: 118.10 118.10 19.24
Sites, in units of the cell vectors:
Er 0.107 0.107 0.190
Er 0.254 0.254 0.734
Er 0.316 0.316 0.542
Er 0.684 0.684 0.458
Er 0.746 0.746 0.266
Er 0.893 0.893 0.810
I 0.056 0.056 0.359
I 0.178 0.178 0.045
I 0.357 0.357 0.330
I 0.500 0.500 0.000
I 0.643 0.643 0.670
I 0.822 0.822 0.955
I 0.944 0.944 0.641


(4)
# SrLi3Tl9
Simulated powder diffraction line list, Cu Kα X-rays. Input: DFT lattice parameters and positions (GGA-PBE).

Most intense lines, 2θ from 10° to 90°, low angle first:
5.313 Å, rel. 43; 3.101 Å, rel. 100; 3.054 Å, rel. 49; 2.745 Å, rel. 94; 2.661 Å, rel. 79; 2.626 Å, rel. 53; 2.429 Å, rel. 78; 2.330 Å, rel. 55

Cell and atoms:
abc: 8.400 8.400 7.837
angles: 97.85 97.85 136.68
Sites, in units of the cell vectors:
Sr 0.000 0.000 0.000
Li 0.000 0.500 0.000
Li 0.500 0.000 0.000
Li 0.500 0.500 0.500
Tl 0.000 0.000 0.500
Tl 0.026 0.669 0.667
Tl 0.307 0.530 0.783
Tl 0.331 0.974 0.333
Tl 0.470 0.693 0.217
Tl 0.530 0.307 0.783
Tl 0.669 0.026 0.667
Tl 0.693 0.470 0.217
Tl 0.974 0.331 0.333